Ag2AuO2: theoretical PXRD pattern (Cu Kα (λ = 1.5418 Å)), based on a DFT-relaxed cell (PBE, Alexandria).

The 10 most intense peaks (10° ≤ 2θ ≤ 80°), sorted by position:
(0 0 2), 2θ 12.3, rel. 18; (1 0 3), 2θ 33.1, rel. 100; (0 0 6), 2θ 37.6, rel. 21; (1 1 0), 2θ 38.8, rel. 45; (1 0 5), 2θ 41.8, rel. 10; (1 1 6), 2θ 55.2, rel. 27; (2 0 0), 2θ 56.0, rel. 15; (1 0 9), 2θ 65.1, rel. 12; (2 1 3), 2θ 66.6, rel. 27; (2 0 6), 2θ 69.5, rel. 13

Cell and atoms:
Lattice parameters (Å, degrees): 3.283 3.283 14.339 90.00 90.00 90.00
Space group I4/mmm (No. 139)
Asymmetric unit:
Ag  0.000  0.000  0.154 [4 per cell]
Au  0.000  0.000  0.500 [2 per cell]
O  0.000  0.000  0.354 [4 per cell]